No. 1
# Er2Ti2InRh5
Computed powder diffraction line list, Cu Kα (λ = 1.5418 Å). Input: DFT lattice parameters and positions (PBE).
Peak positions follow from Bragg's law for the DFT cell and can differ from measured ones.

Top 10 peaks for 10° ≤ 2θ ≤ 80°, in order of falling intensity:
2θ 37.82, d = 2.379 Å, intensity 100, hkl 3 1 1
2θ 37.26, d = 2.413 Å, intensity 66, hkl 4 1 0
2θ 31.79, d = 2.815 Å, intensity 47, hkl 2 1 1
2θ 41.07, d = 2.198 Å, intensity 36, hkl 3 2 1
2θ 35.51, d = 2.528 Å, intensity 36, hkl 2 2 1
2θ 64.15, d = 1.452 Å, intensity 27, hkl 4 1 2
2θ 50.20, d = 1.817 Å, intensity 24, hkl 0 0 2
2θ 40.55, d = 2.225 Å, intensity 19, hkl 4 2 0
2θ 38.38, d = 2.345 Å, intensity 16, hkl 3 3 0
2θ 66.43, d = 1.407 Å, intensity 15, hkl 5 5 0

Crystal structure
a = 9.950 Å, b = 9.950 Å, c = 3.635 Å
α = 90.00°, β = 90.00°, γ = 90.00°
Space group P4/mbm (No. 127)
Symmetry-distinct sites (fractional):
Er: 0.180 0.320 0.000 [4 per cell]
Ti: 0.119 0.619 0.000 [4 per cell]
In: 0.000 0.000 0.000 [2 per cell]
Rh: 0.000 0.500 0.500 [2 per cell]
Rh: 0.066 0.789 0.500 [8 per cell]

No. 2
# BaFe3Cl
Computed powder diffraction line list, Cu Kα (λ = 1.5418 Å). Input: DFT lattice parameters and positions (PBE).
Peak positions follow from Bragg's law for the DFT cell and can differ from measured ones.

Top 10 peaks for 10° ≤ 2θ ≤ 80°, in order of falling intensity:
2θ 34.53, d = 2.598 Å, intensity 100, hkl 1 1 1
2θ 40.08, d = 2.250 Å, intensity 77, hkl 2 0 0
2θ 57.98, d = 1.591 Å, intensity 49, hkl 2 2 0
2θ 28.05, d = 3.181 Å, intensity 41, hkl 1 1 0
2θ 69.26, d = 1.357 Å, intensity 37, hkl 3 1 1
2θ 49.63, d = 1.837 Å, intensity 16, hkl 2 1 1
2θ 72.82, d = 1.299 Å, intensity 16, hkl 2 2 2
2θ 79.75, d = 1.202 Å, intensity 9, hkl 3 2 1
2θ 65.62, d = 1.423 Å, intensity 7, hkl 3 1 0
2θ 19.73, d = 4.499 Å, intensity 4, hkl 1 0 0

Crystal structure
a = 4.499 Å, b = 4.499 Å, c = 4.499 Å
α = 90.00°, β = 90.00°, γ = 90.00°
Space group Pm-3m (No. 221)
Symmetry-distinct sites (fractional):
Ba: 0.000 0.000 0.000 [1 per cell]
Fe: 0.000 0.500 0.500 [3 per cell]
Cl: 0.500 0.500 0.500 [1 per cell]